Simulated powder diffraction line list
Compound: PI3F4
Radiation: a wavelength of 1.5418 Å
Structure: a structure optimized by DFT (GGA-PBE)

Structural model:
```
PI3F4
1.0
5.5699 -4.5996 0.0000
5.5699 4.5996 0.0000
-5.2077 0.0000 5.5654
P I F
1 3 4
Direct
0.0000 0.0000 0.0000 P
0.1873 0.8112 0.7217 I
0.4991 0.4991 0.7948 I
0.8112 0.1873 0.7217 I
0.1310 0.8697 0.1365 F
0.1982 0.1982 0.1804 F
0.8017 0.8017 0.7856 F
0.8697 0.1310 0.1365 F
```

Largest 12 diffraction maxima, by angle, 10 to 90 degrees two-theta:
15.93°, rel. 1000
21.85°, rel. 352
23.34°, rel. 133
31.17°, rel. 193
31.45°, rel. 168
32.19°, rel. 187
35.13°, rel. 132
37.07°, rel. 104
38.62°, rel. 195
39.31°, rel. 238
44.59°, rel. 151
50.91°, rel. 90

---

Simulated powder diffraction line list
Compound: DyZr2Sc
Radiation: a wavelength of 1.5418 Å
Structure: a structure optimized by DFT (GGA-PBE)

Structural model:
```
DyZr2Sc
1.0
4.5821 0.0000 0.0000
0.0000 4.6907 0.0000
-0.0092 0.0000 9.3895
Dy Zr Sc
2 4 2
Direct
0.0001 0.2500 0.1360 Dy
0.9999 0.7500 0.8640 Dy
0.0000 0.2500 0.6193 Zr
0.0000 0.7500 0.3807 Zr
0.4996 0.2500 0.3852 Zr
0.5004 0.7500 0.6148 Zr
0.5001 0.2500 0.8567 Sc
0.4999 0.7500 0.1433 Sc
```

Largest 12 diffraction maxima, by angle, 10 to 90 degrees two-theta:
19.37°, rel. 81
21.17°, rel. 70
21.58°, rel. 60
26.87°, rel. 76
33.34°, rel. 1000
38.36°, rel. 332
39.33°, rel. 161
55.38°, rel. 108
56.11°, rel. 215
66.20°, rel. 243
67.51°, rel. 131
70.02°, rel. 104

---

Simulated powder diffraction line list
Compound: Rb3Cu2HgCl8
Radiation: a wavelength of 1.5418 Å
Structure: a structure optimized by DFT (GGA-PBE)

Structural model:
```
Rb3Cu2HgCl8
1.0
7.2809 0.0000 0.0000
-3.6405 6.3055 0.0000
0.0000 0.0000 9.3159
Rb Cu Hg Cl
3 2 1 8
Direct
0.0000 0.0000 0.0000 Rb
0.3333 0.6667 0.6300 Rb
0.6667 0.3333 0.3700 Rb
0.3333 0.6667 0.2048 Cu
0.6667 0.3333 0.7952 Cu
0.0000 0.0000 0.5000 Hg
0.1695 0.3389 0.3199 Cl
0.1695 0.8305 0.3199 Cl
0.3333 0.6667 0.9711 Cl
0.3389 0.1695 0.6801 Cl
0.6611 0.8305 0.3199 Cl
0.6667 0.3333 0.0289 Cl
0.8305 0.1695 0.6801 Cl
0.8305 0.6611 0.6801 Cl
```

Largest 12 diffraction maxima, by angle, 10 to 90 degrees two-theta:
14.05°, rel. 145
16.98°, rel. 238
23.75°, rel. 628
24.45°, rel. 1000
31.18°, rel. 223
32.13°, rel. 184
34.35°, rel. 606
41.33°, rel. 151
42.61°, rel. 275
43.04°, rel. 220
48.60°, rel. 195
50.12°, rel. 291

---

Simulated powder diffraction line list
Compound: La6YEr5
Radiation: a wavelength of 1.5418 Å
Structure: a structure optimized by DFT (GGA-PBE)

Structural model:
```
La6YEr5
1.0
6.1654 0.0000 0.0000
0.0000 7.4300 0.0000
-0.5131 0.0000 8.8912
La Y Er
6 1 5
Direct
0.0000 0.2476 0.0000 La
0.0000 0.7524 0.0000 La
0.3331 0.2486 0.6652 La
0.3331 0.7514 0.6652 La
0.6669 0.2486 0.3348 La
0.6669 0.7514 0.3348 La
0.5000 0.5000 0.0000 Y
0.1658 0.5000 0.3333 Er
0.1668 0.0000 0.3331 Er
0.5000 0.0000 0.0000 Er
0.8332 0.0000 0.6669 Er
0.8342 0.5000 0.6667 Er
```

Largest 12 diffraction maxima, by angle, 10 to 90 degrees two-theta:
30.14°, rel. 1000
34.17°, rel. 359
36.45°, rel. 151
49.04°, rel. 65
49.16°, rel. 64
50.82°, rel. 234
58.70°, rel. 302
61.74°, rel. 130
62.65°, rel. 93
71.97°, rel. 41
82.61°, rel. 86
87.43°, rel. 51

---

Simulated powder diffraction line list
Compound: NbP4O12
Radiation: a wavelength of 1.5418 Å
Structure: a structure optimized by DFT (GGA-PBE)

Structural model:
```
NbP4O12
1.0
6.1427 -4.2855 0.0000
6.1427 4.2855 0.0000
-5.4624 0.0000 9.1493
Nb P O
2 8 24
Direct
0.0431 0.9569 0.7500 Nb
0.9569 0.0431 0.2500 Nb
0.2596 0.7395 0.0216 P
0.2605 0.7404 0.4784 P
0.2895 0.3176 0.8184 P
0.3176 0.2895 0.3184 P
0.6824 0.7105 0.6816 P
0.7105 0.6824 0.1816 P
0.7395 0.2596 0.5216 P
0.7404 0.2605 0.9784 P
0.1022 0.8417 0.0955 O
0.1558 0.2156 0.3266 O
0.1583 0.8978 0.4045 O
0.1981 0.7637 0.6028 O
0.2009 0.3690 0.6835 O
0.2156 0.1558 0.8266 O
0.2363 0.8019 0.8972 O
0.2370 0.5292 0.3555 O
0.2689 0.5026 0.9658 O
0.3690 0.2009 0.1835 O
0.4708 0.7630 0.1445 O
0.4974 0.7311 0.5342 O
0.5026 0.2689 0.4658 O
0.5292 0.2370 0.8555 O
0.6310 0.7991 0.8165 O
0.7311 0.4974 0.0342 O
0.7630 0.4708 0.6445 O
0.7637 0.1981 0.1028 O
0.7844 0.8442 0.1734 O
0.7991 0.6310 0.3165 O
0.8019 0.2363 0.3972 O
0.8417 0.1022 0.5955 O
0.8442 0.7844 0.6734 O
0.8978 0.1583 0.9045 O
```

Largest 12 diffraction maxima, by angle, 10 to 90 degrees two-theta:
13.31°, rel. 407
16.81°, rel. 442
18.01°, rel. 189
19.68°, rel. 1000
20.73°, rel. 133
24.95°, rel. 327
26.80°, rel. 174
27.42°, rel. 522
27.59°, rel. 127
28.54°, rel. 664
34.00°, rel. 144
36.04°, rel. 202

---

Simulated powder diffraction line list
Compound: Sm4Dy3ScS8
Radiation: a wavelength of 1.5418 Å
Structure: a structure optimized by DFT (GGA-PBE)

Structural model:
```
Sm4Dy3ScS8
1.0
3.9148 2.2602 6.4932
-3.9148 2.2602 6.4932
0.0000 -4.5204 6.4932
Sm Dy Sc S
4 3 1 8
Direct
0.0000 0.0000 0.0000 Sm
0.0000 0.5000 0.5000 Sm
0.5000 0.0000 0.5000 Sm
0.5000 0.5000 0.0000 Sm
0.0000 0.0000 0.5000 Dy
0.0000 0.5000 0.0000 Dy
0.5000 0.0000 0.0000 Dy
0.5000 0.5000 0.5000 Sc
0.2465 0.2465 0.2465 S
0.2522 0.7410 0.7410 S
0.2590 0.2590 0.7478 S
0.2590 0.7478 0.2590 S
0.7410 0.2522 0.7410 S
0.7410 0.7410 0.2522 S
0.7478 0.2590 0.2590 S
0.7535 0.7535 0.7535 S
```

Largest 12 diffraction maxima, by angle, 10 to 90 degrees two-theta:
27.47°, rel. 189
27.86°, rel. 543
32.17°, rel. 1000
45.88°, rel. 361
46.39°, rel. 353
54.31°, rel. 94
54.76°, rel. 179
57.57°, rel. 183
67.30°, rel. 113
76.19°, rel. 157
76.94°, rel. 156
85.66°, rel. 120

---

Simulated powder diffraction line list
Compound: Ce2AlCd3
Radiation: a wavelength of 1.5418 Å
Structure: a structure optimized by DFT (GGA-PBE)

Structural model:
```
Ce2AlCd3
1.0
-1.7379 2.5411 8.7131
1.7379 -2.5411 8.7131
1.7379 2.5411 -8.7131
Ce Al Cd
2 1 3
Direct
0.0000 0.0000 0.0000 Ce
0.7722 0.2722 0.5000 Ce
0.4492 0.4492 0.0000 Al
0.1738 0.6738 0.5000 Cd
0.3366 0.8366 0.5000 Cd
0.6025 0.6025 0.0000 Cd
```

Largest 12 diffraction maxima, by angle, 10 to 90 degrees two-theta:
29.96°, rel. 262
31.12°, rel. 570
32.87°, rel. 1000
35.32°, rel. 397
36.51°, rel. 219
40.34°, rel. 222
44.78°, rel. 133
46.98°, rel. 150
51.71°, rel. 158
52.71°, rel. 239
61.85°, rel. 157
62.45°, rel. 144

---

Simulated powder diffraction line list
Compound: Dy4Y9Zn11
Radiation: a wavelength of 1.5418 Å
Structure: a structure optimized by DFT (GGA-PBE)

Structural model:
```
Dy4Y9Zn11
1.0
7.6675 -10.6573 0.0000
7.6675 10.6573 0.0000
0.0000 0.0000 3.4607
Dy Y Zn
4 9 11
Direct
0.0774 0.2537 0.0000 Dy
0.2537 0.0774 0.0000 Dy
0.7463 0.9226 0.0000 Dy
0.9226 0.7463 0.0000 Dy
0.0000 0.0000 0.0000 Y
0.1234 0.6464 0.0000 Y
0.2946 0.4750 0.0000 Y
0.3536 0.8766 0.0000 Y
0.4750 0.2946 0.0000 Y
0.5250 0.7054 0.0000 Y
0.6464 0.1234 0.0000 Y
0.7054 0.5250 0.0000 Y
0.8766 0.3536 0.0000 Y
0.0838 0.4457 0.5000 Zn
0.1317 0.8683 0.5000 Zn
0.2776 0.2776 0.5000 Zn
0.3255 0.6745 0.5000 Zn
0.4457 0.0838 0.5000 Zn
0.5000 0.5000 0.5000 Zn
0.5543 0.9162 0.5000 Zn
0.6745 0.3255 0.5000 Zn
0.7224 0.7224 0.5000 Zn
0.8683 0.1317 0.5000 Zn
0.9162 0.5543 0.5000 Zn
```

Largest 12 diffraction maxima, by angle, 10 to 90 degrees two-theta:
25.74°, rel. 162
33.00°, rel. 186
34.42°, rel. 930
34.93°, rel. 915
36.09°, rel. 418
36.24°, rel. 1000
39.49°, rel. 292
52.91°, rel. 253
62.76°, rel. 312
64.65°, rel. 323
64.79°, rel. 302
65.74°, rel. 159